Simulated XRD peak list of ScGaNi for Cu Kα (λ = 1.5418 Å), from the GGA-PBE geometry in the Materials Project.
Lines closer than 0.1° are merged.

Structure:
abc: 5.109 5.109 6.322
angles: 124.34 124.34 47.66
Positions (direct):
Sc 0.053 0.053 0.307
Sc 0.947 0.947 0.693
Ga 0.326 0.326 0.893
Ga 0.674 0.674 0.107
Ni 0.341 0.341 0.306
Ni 0.659 0.659 0.694

Top 10 peaks for 15° ≤ 2θ ≤ 90°, sorted by position:
2θ 28.31, 3.152 Å, rel. 24.3
2θ 34.89, 2.572 Å, rel. 20.1
2θ 36.41, 2.467 Å, rel. 35.3
2θ 37.21, 2.416 Å, rel. 84.9
2θ 38.66, 2.329 Å, rel. 27.2
2θ 39.01, 2.309 Å, rel. 29.9
2θ 42.89, 2.108 Å, rel. 100.0
2θ 43.87, 2.064 Å, rel. 76.3
2θ 45.80, 1.981 Å, rel. 24.1
2θ 50.49, 1.808 Å, rel. 21.8